No. 1
Diffraction record for Np4P6Pd5. The powder XRD pattern is theoretical, not measured: it uses a DFT-relaxed cell (PBE, Alexandria) and Cu Kα (weighted mean of Kα1 and Kα2).
Peak positions follow from Bragg's law for the DFT cell and can differ from measured ones.

Most intense lines, 2θ = 15–90°, low angle first:
2θ = 28.39°, I = 47, hkl 0 6 0
2θ = 29.60°, I = 96, hkl 1 1 3
2θ = 33.39°, I = 45, hkl 1 5 1
2θ = 36.60°, I = 45, hkl 1 3 4
2θ = 37.89°, I = 100, hkl 1 5 3
2θ = 45.85°, I = 51, hkl 2 0 0

Structural model:
```
data_Np4P6Pd5
_chemical_formula_sum 'Np16 P24 Pd20'
_space_group_name_H-M_alt 'C m c 21'
_space_group_IT_number 36
_cell_length_a 3.958
_cell_length_b 18.864
_cell_length_c 14.440
_cell_angle_alpha 90.00
_cell_angle_beta 90.00
_cell_angle_gamma 90.00
loop_
_space_group_symop_operation_xyz
'x,y,z'
'-x,-y,z+1/2'
'-x,y,z'
'x,-y,z+1/2'
'x+1/2,y+1/2,z'
'-x+1/2,-y+1/2,z+1/2'
'-x+1/2,y+1/2,z'
'x+1/2,-y+1/2,z+1/2'
loop_
_atom_site_label
_atom_site_type_symbol
_atom_site_fract_x
_atom_site_fract_y
_atom_site_fract_z
Np1 Np 0.000 0.005 0.000
Np2 Np 0.000 0.030 0.280
Np3 Np 0.000 0.166 0.804
Np4 Np 0.000 0.185 0.443
P1 P 0.000 0.121 0.616
P2 P 0.000 0.220 0.986
P3 P 0.000 0.235 0.264
P4 P 0.000 0.415 0.908
P5 P 0.000 0.433 0.352
P6 P 0.000 0.434 0.629
Pd1 Pd 0.000 0.147 0.129
Pd2 Pd 0.000 0.298 0.120
Pd3 Pd 0.000 0.342 0.768
Pd4 Pd 0.000 0.357 0.486
Pd5 Pd 0.000 0.441 0.171
```

***

No. 2
Diffraction record for Pm2NpP3. The powder XRD pattern is theoretical, not measured: it uses a DFT-relaxed cell (PBE, Alexandria) and Cu Kα (weighted mean of Kα1 and Kα2).
Peak positions follow from Bragg's law for the DFT cell and can differ from measured ones.

Most intense lines, 2θ = 15–90°, low angle first:
2θ = 26.81°, I = 93, hkl 1 0 3
2θ = 31.06°, I = 100, hkl 1 1 0
2θ = 44.50°, I = 74, hkl 2 0 0
2θ = 52.68°, I = 31, hkl 2 1 3
2θ = 55.26°, I = 26, hkl 2 0 6
2θ = 73.49°, I = 22, hkl 3 1 0

Structural model:
```
data_Pm2NpP3
_chemical_formula_sum 'Pm4 Np2 P6'
_space_group_name_H-M_alt 'I 4/m m m'
_space_group_IT_number 139
_space_group_name_Hall '-I 4 2'
_cell_length_a 4.076
_cell_length_b 4.076
_cell_length_c 17.243
_cell_angle_alpha 90.00
_cell_angle_beta 90.00
_cell_angle_gamma 90.00
loop_
_atom_site_label
_atom_site_type_symbol
_atom_site_fract_x
_atom_site_fract_y
_atom_site_fract_z
Pm1 Pm 0.000 0.000 0.168
Np1 Np 0.000 0.000 0.500
P1 P 0.000 0.000 0.000
P2 P 0.000 0.000 0.338
```

***

No. 3
Diffraction record for PmNp5P6. The powder XRD pattern is theoretical, not measured: it uses a DFT-relaxed cell (PBE, Alexandria) and Cu Kα (weighted mean of Kα1 and Kα2).
Peak positions follow from Bragg's law for the DFT cell and can differ from measured ones.

Most intense lines, 2θ = 15–90°, low angle first:
2θ = 27.39°, I = 100, hkl 2 0 0
2θ = 31.73°, I = 93, hkl 1 3 1
2θ = 45.49°, I = 69, hkl 2 0 2
2θ = 53.92°, I = 46, hkl 3 3 1
2θ = 56.50°, I = 18, hkl 0 0 4
2θ = 75.35°, I = 27, hkl 3 3 3

Structural model:
```
data_PmNp5P6
_chemical_formula_sum 'Pm2 Np10 P12'
_space_group_name_H-M_alt 'C 1 2/m 1'
_space_group_IT_number 12
_cell_length_a 6.902
_cell_length_b 11.963
_cell_length_c 6.915
_cell_angle_alpha 90.00
_cell_angle_beta 109.48
_cell_angle_gamma 90.00
loop_
_space_group_symop_operation_xyz
'x,y,z'
'-x,-y,-z'
'-x,y,-z'
'x,-y,z'
'x+1/2,y+1/2,z'
'-x+1/2,-y+1/2,-z'
'-x+1/2,y+1/2,-z'
'x+1/2,-y+1/2,z'
loop_
_atom_site_label
_atom_site_type_symbol
_atom_site_fract_x
_atom_site_fract_y
_atom_site_fract_z
Pm1 Pm 0.000 0.000 0.000
Np1 Np 0.000 0.164 0.500
Np2 Np 0.000 0.333 0.000
Np3 Np 0.000 0.500 0.500
P1 P 0.242 0.500 0.253
P2 P 0.244 0.329 0.745
```

***

No. 4
Diffraction record for PmNpU2P4. The powder XRD pattern is theoretical, not measured: it uses a DFT-relaxed cell (PBE, Alexandria) and Cu Kα (weighted mean of Kα1 and Kα2).
Peak positions follow from Bragg's law for the DFT cell and can differ from measured ones.

Most intense lines, 2θ = 15–90°, low angle first:
2θ = 27.40°, I = 100, hkl 1 1 2
2θ = 31.74°, I = 96, hkl 2 0 0
2θ = 45.50°, I = 71, hkl 2 2 0
2θ = 53.93°, I = 50, hkl 1 1 6
2θ = 75.38°, I = 33, hkl 4 2 0
2θ = 84.10°, I = 26, hkl 4 2 4

Structural model:
```
data_PmNpU2P4
_chemical_formula_sum 'Pm2 Np2 U4 P8'
_space_group_name_H-M_alt 'I 4/m m m'
_space_group_IT_number 139
_space_group_name_Hall '-I 4 2'
_cell_length_a 5.637
_cell_length_b 5.637
_cell_length_c 11.286
_cell_angle_alpha 90.00
_cell_angle_beta 90.00
_cell_angle_gamma 90.00
loop_
_atom_site_label
_atom_site_type_symbol
_atom_site_fract_x
_atom_site_fract_y
_atom_site_fract_z
Pm1 Pm 0.000 0.000 0.000
Np1 Np 0.000 0.000 0.500
U1 U 0.000 0.500 0.250
P1 P 0.000 0.000 0.255
P2 P 0.000 0.500 0.000
```